The following is a simulated X-ray powder pattern of RbDyTe3Pb. It was derived from DFT lattice parameters and positions (GGA-PBE), using Cu Ka.
Neutral-atom scattering factors, no anomalous dispersion.

Main lines, in order of falling intensity (2θ from 10° to 90°):
27.91°, I 100, (2 1 0)
10.33°, I 83, (1 0 -1)
41.09°, I 56, (1 1 4)
29.53°, I 36, (1 0 -4)
24.41°, I 28, (1 1 1)
32.24°, I 23, (2 1 -3)
40.07°, I 22, (0 2 0)
23.26°, I 22, (0 0 3)

Atomic structure:
a b c (Å): 9.5757 4.5008 12.0991
angles (deg): 90.00 108.49 90.00
Space group P2_1/m (No. 11)
Unique sites:
Rb  0.2134  0.2500  0.2535 (multiplicity 2)
Dy  0.3668  0.7500  0.8477 (multiplicity 2)
Te  0.1253  0.2500  0.8030 (multiplicity 2)
Te  0.3627  0.7500  0.5852 (multiplicity 2)
Te  0.4013  0.7500  0.1081 (multiplicity 2)
Pb  0.1427  0.2500  0.5622 (multiplicity 2)

---

The following is a simulated X-ray powder pattern of Tb2Pm3Os2. It was derived from DFT lattice parameters and positions (GGA-PBE), using Cu Ka.
Neutral-atom scattering factors, no anomalous dispersion.

Main lines, in order of falling intensity (2θ from 10° to 90°):
31.38°, I 100, (3 1 -1)
32.53°, I 67, (3 1 0)
34.40°, I 62, (3 1 -2)
45.15°, I 55, (0 2 0)
39.55°, I 55, (1 1 -3)
32.38°, I 54, (2 0 2)
35.04°, I 54, (1 1 2)
30.81°, I 37, (1 1 -2)

Atomic structure:
a b c (Å): 12.2229 4.0171 8.4009
angles (deg): 90.00 111.93 90.00
Space group C2/m (No. 12)
Unique sites:
Tb  0.1692  0.0000  0.3193 (multiplicity 4)
Pm  0.0000  0.5000  0.5000 (multiplicity 2)
Pm  0.1235  0.5000  0.9304 (multiplicity 4)
Os  0.1810  0.0000  0.7149 (multiplicity 4)

---

The following is a simulated X-ray powder pattern of Dy2Ga3. It was derived from DFT lattice parameters and positions (GGA-PBE), using Cu Ka.
Neutral-atom scattering factors, no anomalous dispersion.

Main lines, in order of falling intensity (2θ from 10° to 90°):
35.06°, I 100, (2 1 1)
32.56°, I 31, (2 0 1)
40.85°, I 25, (3 1 0)
40.42°, I 21, (0 0 2)
58.82°, I 17, (3 1 2)
58.25°, I 15, (4 1 1)
70.06°, I 13, (2 1 3)
28.57°, I 12, (2 1 0)

Atomic structure:
a b c (Å): 6.9851 6.9851 4.4628
angles (deg): 90.00 90.00 90.00
Space group P4/mbm (No. 127)
Unique sites:
Dy  0.1723  0.3277  0.0000 (multiplicity 4)
Ga  0.0000  0.0000  0.5000 (multiplicity 2)
Ga  0.1303  0.6303  0.5000 (multiplicity 4)